Structure and calculated powder XRD pattern of Li4V3Cr3Fe2O16 (a structure optimized by DFT (GGA+U); CuKα).
Neutral-atom scattering factors, no anomalous dispersion.

Peak list (10 most intense, 2θ = 15–90°, sorted by position)
- hkl 0 0 2, 2θ = 18.5°, rel. 100
- hkl 1 0 1, 2θ = 19.6°, rel. 65
- hkl 1 1 1, 2θ = 19.7°, rel. 90
- hkl 1 1 3, 2θ = 32.9°, rel. 34
- hkl 1 -1 2, 2θ = 35.6°, rel. 52
- hkl 1 2 -2, 2θ = 36.1°, rel. 33
- hkl 2 0 -2, 2θ = 40.1°, rel. 37
- hkl 2 0 3, 2θ = 45.2°, rel. 36
- hkl 0 2 5, 2θ = 60.1°, rel. 40
- hkl 4 2 0, 2θ = 63.4°, rel. 46

Structure:
```
Li4V3Cr3Fe2O16
1.0
5.866 0.000 0.000
2.869 5.118 0.000
0.115 0.067 9.584
Li V Cr Fe O
4 3 3 2 16
Cartesian
0.000 0.000 0.000
0.091 0.071 4.793
3.070 1.810 8.602
5.900 3.461 3.782
2.942 3.403 2.099
4.396 0.884 2.082
7.349 4.321 6.899
1.529 0.907 2.053
4.485 4.332 6.892
5.962 1.812 6.893
2.952 1.746 4.745
5.925 3.480 9.528
0.042 0.023 3.017
1.690 2.535 3.247
2.906 3.521 5.845
1.512 0.897 5.774
4.299 4.279 0.996
2.992 1.757 0.999
4.270 2.509 3.284
3.039 0.239 3.239
4.674 2.749 8.082
6.010 5.013 8.056
4.479 0.832 5.846
6.009 3.532 5.834
5.817 1.666 1.007
7.321 4.290 1.034
7.301 2.808 8.057
8.801 5.169 7.809
```